# KBi4Pb6
Simulated PXRD pattern, CuKα. Input: a DFT-relaxed cell (PBE, Alexandria).
Intensities are scaled so that the largest is 100.

Principal peaks in the range 5 to 70 degrees two-theta, in order of rising 2θ:
| two_theta | d_spacing | intensity |
| --- | --- | --- |
| 5.4 | 16.343 | 16.6 |
| 19.3 | 4.607 | 37.4 |
| 29.8 | 3.000 | 35.3 |
| 33.2 | 2.699 | 100.0 |
| 35.0 | 2.565 | 17.7 |
| 35.3 | 2.542 | 55.6 |
| 50.8 | 1.797 | 20.2 |
| 53.3 | 1.720 | 17.3 |
| 62.0 | 1.496 | 34.7 |
| 68.3 | 1.373 | 15.2 |

Structure:
```
data_KBi4Pb6
_symmetry_space_group_name_H-M 'I 4/m m m'
_symmetry_Int_Tables_number 139
_symmetry_space_group_name_Hall '-I 4 2'
_cell_length_a 5.084
_cell_length_b 5.084
_cell_length_c 32.687
_cell_angle_alpha 90.00
_cell_angle_beta 90.00
_cell_angle_gamma 90.00
loop_
_atom_site_label
_atom_site_type_symbol
_atom_site_fract_x
_atom_site_fract_y
_atom_site_fract_z
_atom_site_occupancy
K1 K 0.000 0.000 0.000 1
Bi1 Bi 0.000 0.000 0.183 1
Bi2 Bi 0.000 0.000 0.448 1
Pb1 Pb 0.000 0.500 0.114 1
Pb2 Pb 0.000 0.500 0.250 1
```